PmMn2NbO8: simulated X-ray diffraction stick pattern (λ = 1.5418 Å (Cu Kα)), based on a structure optimized by DFT (PBE+U).
Intensities are scaled so that the largest is 100.

Main lines, by intensity (2θ from 10° to 90°):
hkl 1 1 2, 2θ = 33.50°, rel. 100
hkl 0 2 0, 2θ = 26.15°, rel. 74
hkl 2 0 0, 2θ = 27.06°, rel. 61
hkl 1 3 2, 2θ = 51.01°, rel. 48
hkl 3 1 2, 2θ = 52.05°, rel. 39
hkl 1 1 0, 2θ = 18.73°, rel. 29
hkl 3 3 2, 2θ = 65.78°, rel. 26
hkl 2 2 0, 2θ = 37.98°, rel. 24
hkl 2 0 2, 2θ = 38.98°, rel. 21
hkl 1 3 0, 2θ = 42.06°, rel. 12

Cell and atoms:
a b c (Å): 6.5909 6.8166 6.4809
angles (deg): 90.00 90.00 90.00
Space group Cmmm (No. 65)
Symmetry-distinct sites (fractional):
Pm  0.0000  0.0000  0.0000 [2 per cell]
Mn  0.0000  0.5000  0.2583 [4 per cell]
Nb  0.0000  0.0000  0.5000 [2 per cell]
O  0.0000  0.3087  0.5000 [4 per cell]
O  0.0000  0.3352  0.0000 [4 per cell]
O  0.2100  0.0000  0.2815 [8 per cell]

---

Rb2MnNbO5: simulated X-ray diffraction stick pattern (λ = 1.5418 Å (Cu Kα)), based on a structure optimized by DFT (PBE+U).
Intensities are scaled so that the largest is 100.

Main lines, by intensity (2θ from 10° to 90°):
hkl 0 2 3, 2θ = 23.67°, rel. 100
hkl 1 1 3, 2θ = 35.26°, rel. 54
hkl 1 3 1, 2θ = 33.24°, rel. 33
hkl 0 6 1, 2θ = 34.83°, rel. 25
hkl 0 2 2, 2θ = 17.84°, rel. 23
hkl 1 1 2, 2θ = 31.48°, rel. 21
hkl 0 4 2, 2θ = 26.54°, rel. 19
hkl 0 2 4, 2θ = 30.13°, rel. 18
hkl 1 7 2, 2θ = 51.42°, rel. 17
hkl 0 0 6, 2θ = 42.40°, rel. 16

Cell and atoms:
a b c (Å): 3.2374 15.7754 12.8054
angles (deg): 90.00 90.00 90.00
Space group Cmc2_1 (No. 36)
Symmetry-distinct sites (fractional):
Rb  0.0000  0.0806  0.0000 [4 per cell]
Rb  0.0000  0.1417  0.6524 [4 per cell]
Mn  0.0000  0.4430  0.7743 [4 per cell]
Nb  0.0000  0.2172  0.3676 [4 per cell]
O  0.0000  0.0684  0.3543 [4 per cell]
O  0.0000  0.2895  0.9672 [4 per cell]
O  0.0000  0.3052  0.7651 [4 per cell]
O  0.0000  0.3305  0.3462 [4 per cell]
O  0.0000  0.4949  0.6493 [4 per cell]

---

Mn2NbTl2O6: simulated X-ray diffraction stick pattern (λ = 1.5418 Å (Cu Kα)), based on a structure optimized by DFT (PBE+U).
Intensities are scaled so that the largest is 100.

Main lines, by intensity (2θ from 10° to 90°):
hkl 0 0 2, 2θ = 24.32°, rel. 100
hkl 1 3 -2, 2θ = 40.46°, rel. 76
hkl 1 3 0, 2θ = 34.74°, rel. 66
hkl 2 0 0, 2θ = 34.94°, rel. 43
hkl 0 2 1, 2θ = 23.27°, rel. 42
hkl 1 1 -1, 2θ = 21.27°, rel. 42
hkl 1 3 2, 2θ = 45.16°, rel. 34
hkl 1 1 1, 2θ = 25.31°, rel. 27
hkl 2 0 2, 2θ = 47.52°, rel. 24
hkl 2 0 -2, 2θ = 38.11°, rel. 23

Cell and atoms:
a b c (Å): 5.2655 8.9617 7.5056
angles (deg): 90.00 102.73 90.00
Space group C2/m (No. 12)
Symmetry-distinct sites (fractional):
Mn  0.0000  0.1657  0.0000 [4 per cell]
Nb  0.0000  0.5000  0.0000 [2 per cell]
Tl  0.0000  0.1708  0.5000 [4 per cell]
O  0.1206  0.0000  0.8587 [4 per cell]
O  0.1212  0.3299  0.8605 [8 per cell]

---

Mn3Nb2ZnO9: simulated X-ray diffraction stick pattern (λ = 1.5418 Å (Cu Kα)), based on a structure optimized by DFT (PBE+U).
Intensities are scaled so that the largest is 100.

Main lines, by intensity (2θ from 10° to 90°):
hkl 1 0 4, 2θ = 31.25°, rel. 100
hkl 1 1 0, 2θ = 33.40°, rel. 70
hkl 0 2 4, 2θ = 46.39°, rel. 38
hkl 2 1 4, 2θ = 58.36°, rel. 35
hkl 3 0 0, 2θ = 59.71°, rel. 27
hkl 1 1 6, 2θ = 50.78°, rel. 26
hkl 1 0 0, 2θ = 19.10°, rel. 17
hkl 0 1 2, 2θ = 22.72°, rel. 15
hkl 1 3 4, 2θ = 78.80°, rel. 12
hkl 0 1 8, 2θ = 54.20°, rel. 11

Cell and atoms:
a b c (Å): 5.3650 5.3650 14.5357
angles (deg): 90.00 90.00 120.00
Space group P3c1 (No. 158)
Symmetry-distinct sites (fractional):
Mn  0.0000  0.0000  0.0000 [2 per cell]
Mn  0.0000  0.0000  0.2161 [2 per cell]
Mn  0.6667  0.3333  0.0318 [2 per cell]
Nb  0.3333  0.6667  0.1600 [2 per cell]
Nb  0.3333  0.6667  0.3771 [2 per cell]
Zn  0.6667  0.3333  0.3106 [2 per cell]
O  0.0236  0.3295  0.1042 [6 per cell]
O  0.0465  0.3901  0.7686 [6 per cell]
O  0.3590  0.0025  0.4332 [6 per cell]

---

Which formula does entry 3 have? Mn2NbTl2O6